Structure and theoretical powder X-ray diffraction pattern of TlAs3Au3 (a PBE-relaxed structure; Cu Kα).

Principal peaks in the range 2θ from 5° to 70°, in order of falling intensity:
- 2θ 30.37, intensity 100
- 2θ 47.17, intensity 60
- 2θ 24.70, intensity 42
- 2θ 27.67, intensity 32
- 2θ 50.64, intensity 28
- 2θ 43.48, intensity 22
- 2θ 57.14, intensity 17
- 2θ 60.20, intensity 15
- 2θ 45.35, intensity 9
- 2θ 58.68, intensity 8
- 2θ 17.40, intensity 5
- 2θ 39.53, intensity 1

Structural model:
Lattice parameters (Å, degrees): 7.210 7.210 7.210 90.00 90.00 90.00
Atoms (fractional coordinates):
Tl (0.000, 0.000, 0.000)
Tl (0.500, 0.500, 0.500)
As (0.000, 0.250, 0.500)
As (0.000, 0.750, 0.500)
As (0.250, 0.500, 0.000)
As (0.500, 0.000, 0.250)
As (0.500, 0.000, 0.750)
As (0.750, 0.500, 0.000)
Au (0.000, 0.500, 0.250)
Au (0.000, 0.500, 0.750)
Au (0.250, 0.000, 0.500)
Au (0.500, 0.250, 0.000)
Au (0.500, 0.750, 0.000)
Au (0.750, 0.000, 0.500)

***

Structure and theoretical powder X-ray diffraction pattern of Tl3AsAu4 (a PBE-relaxed structure; Cu Kα).

Principal peaks in the range 2θ from 5° to 70°, in order of falling intensity:
- 2θ 28.09, intensity 100
- 2θ 30.74, intensity 67
- 2θ 32.96, intensity 48
- 2θ 37.24, intensity 47
- 2θ 29.81, intensity 46
- 2θ 39.48, intensity 40
- 2θ 39.30, intensity 40
- 2θ 34.43, intensity 37
- 2θ 43.44, intensity 29
- 2θ 68.47, intensity 28
- 2θ 27.92, intensity 26
- 2θ 40.78, intensity 24

Structural model:
Lattice parameters (Å, degrees): 4.736 6.700 7.013 89.72 71.69 74.53
Atoms (fractional coordinates):
Tl (0.000, 0.000, 0.000)
Tl (0.160, 0.415, 0.125)
Tl (0.813, 0.832, 0.591)
As (0.297, 0.291, 0.598)
Au (0.410, 0.003, 0.329)
Au (0.472, 0.578, 0.400)
Au (0.596, 0.704, 0.007)
Au (0.711, 0.362, 0.734)

***

Structure and theoretical powder X-ray diffraction pattern of U2As4Au (a PBE-relaxed structure; Cu Kα).

Principal peaks in the range 2θ from 5° to 70°, in order of falling intensity:
- 2θ 37.09, intensity 100
- 2θ 24.26, intensity 48
- 2θ 45.71, intensity 31
- 2θ 36.02, intensity 25
- 2θ 29.18, intensity 18
- 2θ 60.50, intensity 18
- 2θ 37.42, intensity 17
- 2θ 52.41, intensity 13
- 2θ 59.53, intensity 12
- 2θ 52.92, intensity 12
- 2θ 44.05, intensity 11
- 2θ 66.63, intensity 10

Structural model:
Lattice parameters (Å, degrees): 3.970 3.970 9.612 90.00 90.00 90.00
Atoms (fractional coordinates):
U (0.000, 0.500, 0.235)
U (0.500, 0.000, 0.765)
As (0.000, 0.000, 0.000)
As (0.000, 0.500, 0.684)
As (0.500, 0.000, 0.316)
As (0.500, 0.500, 0.000)
Au (0.000, 0.000, 0.500)

***

Structure and theoretical powder X-ray diffraction pattern of ZnAs3Au (a PBE-relaxed structure; Cu Kα).

Principal peaks in the range 2θ from 5° to 70°, in order of falling intensity:
- 2θ 35.44, intensity 100
- 2θ 17.51, intensity 92
- 2θ 24.86, intensity 72
- 2θ 50.99, intensity 70
- 2θ 39.79, intensity 48
- 2θ 43.77, intensity 33
- 2θ 54.33, intensity 25
- 2θ 63.63, intensity 24
- 2θ 69.42, intensity 17
- 2θ 57.53, intensity 15
- 2θ 66.55, intensity 11
- 2θ 30.56, intensity 9

Structural model:
Lattice parameters (Å, degrees): 5.066 5.066 5.066 90.00 90.00 90.00
Atoms (fractional coordinates):
Zn (0.000, 0.000, 0.000)
As (0.000, 0.500, 0.500)
As (0.500, 0.000, 0.500)
As (0.500, 0.500, 0.000)
Au (0.500, 0.500, 0.500)

***

Structure and theoretical powder X-ray diffraction pattern of BaBAsO5 (a PBE-relaxed structure; Cu Kα).

Principal peaks in the range 2θ from 5° to 70°, in order of falling intensity:
- 2θ 23.92, intensity 100
- 2θ 28.40, intensity 83
- 2θ 44.94, intensity 60
- 2θ 37.46, intensity 35
- 2θ 27.69, intensity 29
- 2θ 64.36, intensity 19
- 2θ 51.12, intensity 15
- 2θ 36.91, intensity 14
- 2θ 39.05, intensity 13
- 2θ 52.80, intensity 13
- 2θ 34.67, intensity 12
- 2θ 42.08, intensity 12

Structural model:
Lattice parameters (Å, degrees): 7.439 7.439 7.201 90.00 90.00 120.00
Atoms (fractional coordinates):
Ba (0.000, 0.610, 0.167)
Ba (0.390, 0.390, 0.500)
Ba (0.610, 0.000, 0.833)
B (0.000, 0.096, 0.167)
B (0.096, 0.000, 0.833)
B (0.904, 0.904, 0.500)
As (0.000, 0.606, 0.667)
As (0.394, 0.394, 0.000)
As (0.606, 0.000, 0.333)
O (0.000, 0.027, 0.667)
O (0.027, 0.000, 0.333)
O (0.143, 0.822, 0.813)
O (0.151, 0.567, 0.517)
O (0.178, 0.321, 0.146)
O (0.321, 0.178, 0.854)
O (0.416, 0.849, 0.183)
O (0.433, 0.584, 0.850)
O (0.567, 0.151, 0.483)
O (0.584, 0.433, 0.150)
O (0.679, 0.857, 0.480)
O (0.822, 0.143, 0.187)
O (0.849, 0.416, 0.817)
O (0.857, 0.679, 0.520)
O (0.973, 0.973, 0.000)

***

Structure and theoretical powder X-ray diffraction pattern of Na6Bi2B4AsO16 (a PBE-relaxed structure; Cu Kα).

Principal peaks in the range 2θ from 5° to 70°, in order of falling intensity:
- 2θ 20.20, intensity 100
- 2θ 34.81, intensity 57
- 2θ 21.11, intensity 54
- 2θ 31.90, intensity 52
- 2θ 10.51, intensity 42
- 2θ 41.07, intensity 40
- 2θ 54.51, intensity 27
- 2θ 47.93, intensity 26
- 2θ 54.91, intensity 22
- 2θ 24.42, intensity 20
- 2θ 36.46, intensity 20
- 2θ 62.42, intensity 18

Structural model:
Lattice parameters (Å, degrees): 10.308 10.308 10.308 60.00 60.00 60.00
Atoms (fractional coordinates):
Na (0.080, 0.080, 0.670)
Na (0.080, 0.670, 0.080)
Na (0.080, 0.670, 0.670)
Na (0.330, 0.330, 0.920)
Na (0.330, 0.920, 0.330)
Na (0.330, 0.920, 0.920)
Na (0.670, 0.080, 0.080)
Na (0.670, 0.080, 0.670)
Na (0.670, 0.670, 0.080)
Na (0.920, 0.330, 0.330)
Na (0.920, 0.330, 0.920)
Na (0.920, 0.920, 0.330)
Bi (0.000, 0.500, 0.500)
Bi (0.500, 0.000, 0.500)
Bi (0.500, 0.500, 0.000)
Bi (0.500, 0.500, 0.500)
B (0.282, 0.282, 0.282)
B (0.282, 0.282, 0.654)
B (0.282, 0.654, 0.282)
B (0.346, 0.718, 0.718)
B (0.654, 0.282, 0.282)
B (0.718, 0.346, 0.718)
B (0.718, 0.718, 0.346)
B (0.718, 0.718, 0.718)
As (0.125, 0.125, 0.125)
As (0.875, 0.875, 0.875)
O (0.057, 0.057, 0.057)
O (0.057, 0.057, 0.330)
O (0.057, 0.330, 0.057)
O (0.139, 0.296, 0.658)
O (0.139, 0.408, 0.296)
O (0.139, 0.658, 0.408)
O (0.296, 0.139, 0.408)
O (0.296, 0.408, 0.658)
O (0.296, 0.658, 0.139)
O (0.330, 0.057, 0.057)
O (0.342, 0.592, 0.861)
O (0.342, 0.704, 0.592)
O (0.342, 0.861, 0.704)
O (0.408, 0.139, 0.658)
O (0.408, 0.296, 0.139)
O (0.408, 0.658, 0.296)
O (0.592, 0.342, 0.704)
O (0.592, 0.704, 0.861)
O (0.592, 0.861, 0.342)
O (0.658, 0.139, 0.296)
O (0.658, 0.296, 0.408)
O (0.658, 0.408, 0.139)
O (0.670, 0.943, 0.943)
O (0.704, 0.342, 0.861)
O (0.704, 0.592, 0.342)
O (0.704, 0.861, 0.592)
O (0.861, 0.342, 0.592)
O (0.861, 0.592, 0.704)
O (0.861, 0.704, 0.342)
O (0.943, 0.670, 0.943)
O (0.943, 0.943, 0.670)
O (0.943, 0.943, 0.943)

***

Structure and theoretical powder X-ray diffraction pattern of Na2BiBAsO7 (a PBE-relaxed structure; Cu Kα).

Principal peaks in the range 2θ from 5° to 70°, in order of falling intensity:
- 2θ 9.15, intensity 100
- 2θ 24.65, intensity 51
- 2θ 24.25, intensity 28
- 2θ 18.59, intensity 25
- 2θ 15.32, intensity 25
- 2θ 31.06, intensity 20
- 2θ 26.36, intensity 19
- 2θ 20.20, intensity 16
- 2θ 50.57, intensity 15
- 2θ 32.33, intensity 14
- 2θ 30.90, intensity 14
- 2θ 34.72, intensity 13

Structural model:
Lattice parameters (Å, degrees): 5.541 7.220 9.664 90.00 90.92 90.00
Atoms (fractional coordinates):
Na (0.233, 0.003, 0.208)
Na (0.233, 0.497, 0.208)
Na (0.767, 0.503, 0.792)
Na (0.767, 0.997, 0.792)
Bi (0.311, 0.250, 0.631)
Bi (0.689, 0.750, 0.369)
B (0.275, 0.250, 0.910)
B (0.725, 0.750, 0.090)
As (0.237, 0.750, 0.603)
As (0.763, 0.250, 0.397)
O (0.061, 0.250, 0.832)
O (0.067, 0.250, 0.374)
O (0.242, 0.250, 0.048)
O (0.290, 0.750, 0.423)
O (0.381, 0.561, 0.674)
O (0.381, 0.939, 0.674)
O (0.490, 0.250, 0.840)
O (0.510, 0.750, 0.160)
O (0.619, 0.061, 0.326)
O (0.619, 0.439, 0.326)
O (0.710, 0.250, 0.577)
O (0.758, 0.750, 0.952)
O (0.933, 0.750, 0.626)
O (0.939, 0.750, 0.168)

***

Structure and theoretical powder X-ray diffraction pattern of BAs2OsBr (a PBE-relaxed structure; Cu Kα).

Principal peaks in the range 2θ from 5° to 70°, in order of falling intensity:
- 2θ 36.02, intensity 100
- 2θ 42.62, intensity 34
- 2θ 60.05, intensity 24
- 2θ 40.24, intensity 20
- 2θ 28.98, intensity 13
- 2θ 61.85, intensity 11
- 2θ 20.94, intensity 10
- 2θ 29.78, intensity 7
- 2θ 19.81, intensity 7
- 2θ 52.36, intensity 5
- 2θ 50.86, intensity 3
- 2θ 47.41, intensity 3

Structural model:
Lattice parameters (Å, degrees): 4.243 4.243 4.482 90.00 90.00 90.00
Atoms (fractional coordinates):
B (0.000, 0.000, 0.000)
As (0.000, 0.500, 0.000)
As (0.500, 0.000, 0.000)
Os (0.500, 0.500, 0.500)
Br (0.000, 0.000, 0.500)